(1)
Computed XRD peak list of Tb3PrDy12 for CuKα, from a cell relaxed with PBE.
Lines closer than 0.1° are merged.

The 8 most intense peaks (15 to 90 degrees two-theta), by angle:
d/Å	two_theta	Rel. int.
2.903	30.8	100
2.514	35.7	51
1.778	51.4	36
1.516	61.1	43
1.451	64.2	12
1.257	75.7	6
1.154	83.9	18
1.124	86.6	17

a = 5.028 Å, b = 5.028 Å, c = 20.112 Å
α = 90.00°, β = 90.00°, γ = 90.00°
Positions (direct):
Tb  0.000  0.000  0.000
Tb  0.000  0.000  0.249
Tb  0.000  0.000  0.751
Pr  0.000  0.000  0.500
Dy  0.000  0.500  0.124
Dy  0.000  0.500  0.373
Dy  0.000  0.500  0.627
Dy  0.000  0.500  0.876
Dy  0.500  0.000  0.124
Dy  0.500  0.000  0.373
Dy  0.500  0.000  0.627
Dy  0.500  0.000  0.876
Dy  0.500  0.500  0.000
Dy  0.500  0.500  0.248
Dy  0.500  0.500  0.500
Dy  0.500  0.500  0.752

---

(2)
Computed XRD peak list of Mg2Ga6Cu for CuKα, from a cell relaxed with PBE.
Lines closer than 0.1° are merged.

The 8 most intense peaks (15 to 90 degrees two-theta), by angle:
d/Å	two_theta	Rel. int.
3.661	24.3	30
2.786	32.1	21
2.493	36.0	34
2.376	37.9	63
2.355	38.2	26
2.267	39.8	100
1.926	47.2	63
1.453	64.1	26

a = 5.835 Å, b = 5.835 Å, c = 5.600 Å
α = 94.95°, β = 94.95°, γ = 60.59°
Positions (direct):
Mg  0.176  0.176  0.342
Mg  0.824  0.824  0.658
Ga  0.140  0.683  0.180
Ga  0.317  0.860  0.820
Ga  0.331  0.331  0.806
Ga  0.669  0.669  0.194
Ga  0.683  0.140  0.180
Ga  0.860  0.317  0.820
Cu  0.500  0.500  0.500

---

(3)
Computed XRD peak list of GeTe4Au3 for CuKα, from a cell relaxed with PBE.
Lines closer than 0.1° are merged.

The 8 most intense peaks (15 to 90 degrees two-theta), by angle:
d/Å	two_theta	Rel. int.
3.846	23.1	48
3.807	23.4	99
3.697	24.1	84
3.384	26.3	78
2.213	40.8	91
2.075	43.6	51
2.069	43.8	100
1.899	47.9	53

a = 8.761 Å, b = 7.692 Å, c = 7.393 Å
α = 90.00°, β = 90.00°, γ = 90.00°
Positions (direct):
Ge  0.000  0.167  0.000
Ge  0.500  0.833  0.500
Te  0.000  0.172  0.634
Te  0.000  0.841  0.129
Te  0.247  0.336  0.123
Te  0.253  0.664  0.623
Te  0.500  0.159  0.629
Te  0.500  0.828  0.134
Te  0.747  0.664  0.623
Te  0.753  0.336  0.123
Au  0.000  0.843  0.500
Au  0.248  0.671  0.992
Au  0.252  0.329  0.492
Au  0.500  0.157  0.000
Au  0.748  0.329  0.492
Au  0.752  0.671  0.992

---

(4)
Computed XRD peak list of Sm4ThSb4 for CuKα, from a cell relaxed with PBE.
Lines closer than 0.1° are merged.

The 8 most intense peaks (15 to 90 degrees two-theta), by angle:
d/Å	two_theta	Rel. int.
3.709	24.0	61
3.112	28.7	41
3.015	29.6	32
2.858	31.3	100
2.417	37.2	47
2.264	39.8	31
2.087	43.4	28
2.021	44.8	36

a = 7.513 Å, b = 7.513 Å, c = 7.513 Å
α = 114.90°, β = 114.90°, γ = 99.09°
Positions (direct):
Sm  0.000  0.500  0.500
Sm  0.167  0.167  0.000
Sm  0.500  0.000  0.500
Sm  0.833  0.833  0.000
Th  0.500  0.500  0.000
Sb  0.111  0.587  0.000
Sb  0.413  0.413  0.525
Sb  0.587  0.111  0.000
Sb  0.889  0.889  0.475